Record 1
Structure and calculated powder diffraction line list of FeSiTc3 (a GGA-PBE-relaxed structure; Cu Kα (weighted mean of Kα1 and Kα2)).

Peak list (9 most intense, 10 to 90 degrees two-theta, low angle first)
index	d/Å	I/Imax
1 0 0	4.332	147
1 1 1	2.501	1000
2 0 0	2.166	670
2 1 0	1.937	63
2 2 0	1.532	431
3 0 0	1.444	31
3 1 1	1.306	359
2 2 2	1.251	143
3 2 0	1.202	14

Cell lengths 4.332, 4.332, 4.332 Å; angles 90.00, 90.00, 90.00 degrees
Space group Pm-3m (No. 221)
One atom of each set of equivalent atoms:
Fe 0.000 0.000 0.000 x1
Si 0.500 0.500 0.500 x1
Tc 0.000 0.500 0.500 x3


Record 2
Structure and calculated powder diffraction line list of Ac2BeN3 (a GGA-PBE-relaxed structure; Cu Kα (weighted mean of Kα1 and Kα2)).

Peak list (10 most intense, 10 to 90 degrees two-theta, low angle first)
index	d/Å	I/Imax
0 2 2	3.929	1000
2 0 0	3.554	312
0 0 4	3.014	230
2 2 2	2.635	775
0 4 0	2.590	175
2 0 4	2.299	293
2 4 0	2.093	201
0 4 4	1.964	176
2 4 4	1.719	201
2 2 6	1.658	283

Cell lengths 7.107, 10.359, 12.057 Å; angles 90.00, 90.00, 90.00 degrees
Space group Fmmm (No. 69)
One atom of each set of equivalent atoms:
Ac 0.236 0.000 0.000 x8
Ac 0.250 0.250 0.250 x8
Be 0.000 0.000 0.224 x8
N 0.000 0.000 0.358 x8
N 0.000 0.131 0.142 x16


Record 3
Structure and calculated powder diffraction line list of Pr5Ho2Mg (a GGA-PBE-relaxed structure; Cu Kα (weighted mean of Kα1 and Kα2)).

Peak list (10 most intense, 10 to 90 degrees two-theta, low angle first)
index	d/Å	I/Imax
2 0 2	3.170	252
0 4 0	2.888	244
0 2 4	2.779	1000
2 4 2	2.135	165
4 0 0	1.830	193
0 6 4	1.646	204
4 4 0	1.546	220
4 2 4	1.528	161
2 2 10	1.172	89
4 8 0	1.134	79

Cell lengths 7.327, 11.553, 12.665 Å; angles 90.00, 90.00, 90.00 degrees
Space group Fmm2 (No. 42)
One atom of each set of equivalent atoms:
Pr 0.000 0.000 0.000 x4
Pr 0.240 0.000 0.240 x8
Pr 0.250 0.250 0.409 x8
Ho 0.000 0.242 0.656 x8
Mg 0.000 0.000 0.494 x4